# 1
Calculated powder diffraction line list
Compound: ThSnBi2N
Radiation: a wavelength of 1.5418 Å
Structure: a structure optimized by DFT (GGA-PBE)
Intensities are scaled so that the largest is 1000.

The 10 most intense peaks (2θ from 10° to 90°), by intensity:
index, Position (°2θ), intensity
1 0 3, 26.5, 1000
1 1 0, 31.0, 915
1 0 5, 33.3, 797
2 0 0, 44.5, 375
2 1 5, 56.7, 362
2 1 3, 52.5, 319
1 1 8, 51.6, 307
0 0 8, 40.2, 215
3 1 0, 73.5, 168
2 0 8, 61.5, 137

Cell: 4.0734 4.0734 17.9450 Å, 90.00 90.00 90.00°
Space group P4/nmm (No. 129, origin choice 2)
Asymmetric unit:
Th 0.2500 0.2500 0.0644 x2
Sn 0.2500 0.2500 0.6429 x2
Bi 0.2500 0.2500 0.4288 x2
Bi 0.2500 0.2500 0.8085 x2
N 0.2500 0.7500 0.0000 x2



# 2
Calculated powder diffraction line list
Compound: Tl4HgPb3
Radiation: a wavelength of 1.5418 Å
Structure: a structure optimized by DFT (GGA-PBE)
Intensities are scaled so that the largest is 1000.

The 10 most intense peaks (2θ from 10° to 90°), by intensity:
index, Position (°2θ), intensity
3 1 1, 31.4, 1000
5 1 -1, 31.6, 985
0 2 0, 34.4, 398
2 0 -2, 34.6, 390
8 2 0, 54.0, 331
5 3 -1, 59.9, 330
2 2 -2, 49.6, 289
8 0 0, 40.4, 254
3 3 1, 59.7, 166
7 1 -3, 60.3, 162

Cell: 18.5468 5.2194 5.1834 Å, 90.00 105.72 90.00°
Space group C2/m (No. 12)
Asymmetric unit:
Tl 0.1215 0.0000 0.1214 x4
Tl 0.2491 0.0000 0.7504 x4
Hg 0.0000 0.0000 0.5000 x2
Pb 0.0000 0.5000 0.0000 x2
Pb 0.1218 0.5000 0.6196 x4



Which formula does entry 2 have?
Tl4HgPb3